(1)
This entry pairs a crystal structure of Pm2NdYTm with its theoretical XRD peak list. Radiation: CuKα. Structure: a DFT-relaxed cell (GGA-PBE, Alexandria).

Peak list (10 most intense, 5° ≤ 2θ ≤ 70°, in order of rising 2θ)
- 2θ 26.1, rel. 82
- 2θ 28.9, rel. 89
- 2θ 30.7, rel. 63
- 2θ 32.5, rel. 100
- 2θ 32.7, rel. 25
- 2θ 35.4, rel. 45
- 2θ 39.5, rel. 36
- 2θ 45.3, rel. 67
- 2θ 50.1, rel. 19
- 2θ 57.3, rel. 34

Crystal structure
```
Pm2NdYTm
1.0
4.2257 -5.8158 0.0000
4.2257 5.8158 0.0000
0.0000 0.0000 7.2851
Pm Nd Y Tm
4 2 2 2
direct
0.1907 0.1907 0.0000 Pm
0.1907 0.1907 0.5000 Pm
0.8093 0.8093 0.0000 Pm
0.8093 0.8093 0.5000 Pm
0.2258 0.7742 0.7500 Nd
0.7742 0.2258 0.2500 Nd
0.4940 0.5060 0.7500 Y
0.5060 0.4940 0.2500 Y
0.2279 0.7721 0.2500 Tm
0.7721 0.2279 0.7500 Tm
```

=====

(2)
This entry pairs a crystal structure of LiCeSe with its theoretical XRD peak list. Radiation: CuKα. Structure: a DFT-relaxed cell (GGA-PBE, Alexandria).

Peak list (10 most intense, 5° ≤ 2θ ≤ 70°, in order of rising 2θ)
- 2θ 24.7, rel. 38
- 2θ 32.8, rel. 100
- 2θ 43.3, rel. 10
- 2θ 43.4, rel. 31
- 2θ 50.4, rel. 11
- 2θ 50.6, rel. 5
- 2θ 55.5, rel. 22
- 2θ 63.0, rel. 20
- 2θ 68.7, rel. 4
- 2θ 68.9, rel. 4

Crystal structure
```
LiCeSe
1.0
4.1656 0.0000 0.0000
-2.0828 3.6075 0.0000
0.0000 0.0000 4.1819
Li Ce Se
1 1 1
direct
0.0000 0.0000 0.0000 Li
0.3333 0.6667 0.5000 Ce
0.6667 0.3333 0.0000 Se
```